[1]
Tl2HgPt2: computed powder X-ray diffraction pattern (copper Kα), based on the GGA-PBE geometry in OQMD.

Main lines, low angle first (2θ from 5° to 70°):
2θ/deg, I (rel.)
30.3, 39
32.1, 100
40.4, 57
41.9, 32
43.3, 33
51.3, 20
58.4, 21
60.7, 24
62.9, 12
68.2, 24

a = 4.469 Å, b = 4.469 Å, c = 11.810 Å
α = 90.00°, β = 90.00°, γ = 90.00°
Fractional positions:
Tl: 0.000 0.500 0.250
Tl: 0.000 0.500 0.750
Tl: 0.500 0.000 0.250
Tl: 0.500 0.000 0.750
Hg: 0.000 0.000 0.000
Hg: 0.500 0.500 0.500
Pt: 0.000 0.000 0.392
Pt: 0.000 0.000 0.608
Pt: 0.500 0.500 0.108
Pt: 0.500 0.500 0.892

[2]
PrDySi2Ni2: computed powder X-ray diffraction pattern (copper Kα), based on the GGA-PBE geometry in OQMD.

Main lines, low angle first (2θ from 5° to 70°):
2θ/deg, I (rel.)
25.5, 100
30.8, 32
33.7, 51
34.7, 63
41.2, 78
44.1, 55
51.6, 30
57.3, 29
59.9, 23
61.5, 22

a = 4.104 Å, b = 4.104 Å, c = 6.670 Å
α = 90.00°, β = 90.00°, γ = 90.00°
Fractional positions:
Pr: 0.000 0.000 0.000
Dy: 0.500 0.500 0.631
Si: 0.000 0.000 0.514
Si: 0.500 0.500 0.148
Ni: 0.000 0.500 0.330
Ni: 0.500 0.000 0.330

[3]
Ag14C: computed powder X-ray diffraction pattern (copper Kα), based on the GGA-PBE geometry in OQMD.

Main lines, low angle first (2θ from 5° to 70°):
2θ/deg, I (rel.)
27.7, 13
33.4, 40
35.2, 13
35.4, 14
37.3, 16
38.0, 36
42.0, 100
54.3, 8
56.4, 11
67.3, 19

a = 6.761 Å, b = 6.761 Å, c = 6.761 Å
α = 76.30°, β = 76.30°, γ = 76.30°
Fractional positions:
Ag: 0.147 0.147 0.147
Ag: 0.175 0.500 0.825
Ag: 0.175 0.825 0.500
Ag: 0.215 0.215 0.563
Ag: 0.215 0.563 0.215
Ag: 0.437 0.785 0.785
Ag: 0.500 0.175 0.825
Ag: 0.500 0.825 0.175
Ag: 0.563 0.215 0.215
Ag: 0.785 0.437 0.785
Ag: 0.785 0.785 0.437
Ag: 0.825 0.175 0.500
Ag: 0.825 0.500 0.175
Ag: 0.853 0.853 0.853
C: 0.000 0.000 0.000